[1]
Diffraction record for Na3Mn5O12. The powder diffraction line list is calculated, not measured: it uses a structure optimized by DFT (GGA+U) and a wavelength of 1.5418 Å.
Peak positions follow from Bragg's law for the DFT cell and can differ from measured ones.

Cell and atoms:
Cell: 5.058 8.645 5.857 Å, 90.00 108.21 90.00°
Space group P2/m (No. 10)
Symmetry-distinct sites (fractional):
Na 0.000 0.000 0.000 (multiplicity 1)
Na 0.500 0.194 0.000 (multiplicity 2)
Mn 0.000 0.161 0.500 (multiplicity 2)
Mn 0.000 0.500 0.500 (multiplicity 1)
Mn 0.500 0.325 0.500 (multiplicity 2)
O 0.201 0.000 0.701 (multiplicity 2)
O 0.233 0.332 0.678 (multiplicity 4)
O 0.248 0.183 0.308 (multiplicity 4)
O 0.270 0.500 0.329 (multiplicity 2)

Principal peaks in the range 10 to 90 degrees two-theta, low angle first:
- 15.9°, I = 100
- 19.0°, I = 15
- 21.2°, I = 6
- 27.8°, I = 11
- 32.2°, I = 9
- 36.4°, I = 10
- 37.4°, I = 8
- 41.3°, I = 25
- 42.3°, I = 46
- 53.4°, I = 10
- 57.1°, I = 12
- 64.0°, I = 11

---

[2]
Diffraction record for CsAlVP2O10. The powder diffraction line list is calculated, not measured: it uses a structure optimized by DFT (GGA+U) and a wavelength of 1.5418 Å.
Peak positions follow from Bragg's law for the DFT cell and can differ from measured ones.

Cell and atoms:
Cell: 8.069 8.277 14.519 Å, 90.00 107.92 90.00°
Space group P2_1/c (No. 14)
Symmetry-distinct sites (fractional):
Cs 0.182 0.024 0.299 (multiplicity 4)
Al 0.220 0.038 0.967 (multiplicity 4)
V 0.296 0.545 0.136 (multiplicity 4)
P 0.003 0.228 0.540 (multiplicity 4)
P 0.496 0.107 0.853 (multiplicity 4)
O 0.069 0.621 0.421 (multiplicity 4)
O 0.096 0.214 0.967 (multiplicity 4)
O 0.128 0.142 0.628 (multiplicity 4)
O 0.150 0.613 0.009 (multiplicity 4)
O 0.206 0.660 0.201 (multiplicity 4)
O 0.334 0.065 0.883 (multiplicity 4)
O 0.346 0.509 0.585 (multiplicity 4)
O 0.424 0.085 0.568 (multiplicity 4)
O 0.464 0.062 0.746 (multiplicity 4)
O 0.472 0.710 0.132 (multiplicity 4)

Principal peaks in the range 10 to 90 degrees two-theta, low angle first:
- 21.5°, I = 69
- 22.1°, I = 87
- 24.6°, I = 59
- 24.8°, I = 41
- 25.1°, I = 38
- 25.9°, I = 29
- 27.5°, I = 100
- 27.7°, I = 76
- 29.9°, I = 27
- 31.8°, I = 47
- 34.2°, I = 25
- 41.5°, I = 24

---

[3]
Diffraction record for Li2Fe3SnO8. The powder diffraction line list is calculated, not measured: it uses a structure optimized by DFT (GGA+U) and a wavelength of 1.5418 Å.
Peak positions follow from Bragg's law for the DFT cell and can differ from measured ones.

Cell and atoms:
Cell: 8.545 8.545 8.545 Å, 90.00 90.00 90.00°
Space group P2_13 (No. 198)
Symmetry-distinct sites (fractional):
Li 0.123 0.123 0.123 (multiplicity 4)
Li 0.249 0.251 0.749 (multiplicity 4)
Fe 0.112 0.381 0.375 (multiplicity 12)
Sn 0.003 0.503 0.997 (multiplicity 4)
O 0.111 0.111 0.875 (multiplicity 12)
O 0.113 0.387 0.613 (multiplicity 4)
O 0.127 0.863 0.637 (multiplicity 12)
O 0.139 0.639 0.861 (multiplicity 4)

Principal peaks in the range 10 to 90 degrees two-theta, low angle first:
- 18.0°, I = 25
- 20.8°, I = 42
- 23.3°, I = 12
- 29.6°, I = 35
- 34.8°, I = 100
- 36.4°, I = 13
- 46.3°, I = 13
- 47.6°, I = 12
- 52.5°, I = 14
- 55.9°, I = 41
- 61.4°, I = 40
- 87.7°, I = 19

---

[4]
Diffraction record for Li6VO3F3. The powder diffraction line list is calculated, not measured: it uses a structure optimized by DFT (GGA+U) and a wavelength of 1.5418 Å.
Peak positions follow from Bragg's law for the DFT cell and can differ from measured ones.

Cell and atoms:
Cell: 5.219 6.650 7.876 Å, 89.87 88.52 73.42°
Space group P1 (No. 1)
Symmetry-distinct sites (fractional):
Li 0.000 0.000 0.000 (multiplicity 1)
Li 0.029 0.546 0.483 (multiplicity 1)
Li 0.207 0.106 0.377 (multiplicity 1)
Li 0.243 0.622 0.907 (multiplicity 1)
Li 0.323 0.652 0.229 (multiplicity 1)
Li 0.371 0.131 0.727 (multiplicity 1)
Li 0.494 0.777 0.533 (multiplicity 1)
Li 0.539 0.259 0.034 (multiplicity 1)
Li 0.642 0.281 0.382 (multiplicity 1)
Li 0.679 0.791 0.917 (multiplicity 1)
Li 0.812 0.368 0.799 (multiplicity 1)
Li 0.860 0.911 0.287 (multiplicity 1)
V 0.896 0.961 0.629 (multiplicity 1)
V 0.906 0.461 0.130 (multiplicity 1)
O 0.147 0.808 0.449 (multiplicity 1)
O 0.582 0.039 0.494 (multiplicity 1)
O 0.588 0.534 0.000 (multiplicity 1)
O 0.712 0.087 0.842 (multiplicity 1)
O 0.895 0.178 0.197 (multiplicity 1)
O 0.989 0.728 0.089 (multiplicity 1)
F 0.000 0.248 0.582 (multiplicity 1)
F 0.161 0.337 0.912 (multiplicity 1)
F 0.260 0.881 0.793 (multiplicity 1)
F 0.272 0.379 0.289 (multiplicity 1)
F 0.692 0.572 0.360 (multiplicity 1)
F 0.825 0.668 0.691 (multiplicity 1)

Principal peaks in the range 10 to 90 degrees two-theta, low angle first:
- 17.7°, I = 51
- 17.9°, I = 100
- 28.5°, I = 17
- 28.6°, I = 18
- 29.2°, I = 19
- 42.3°, I = 33
- 42.9°, I = 32
- 43.6°, I = 32
- 61.0°, I = 8
- 62.6°, I = 14
- 63.0°, I = 8
- 63.1°, I = 8

---

[5]
Diffraction record for NaFeS2O8. The powder diffraction line list is calculated, not measured: it uses a structure optimized by DFT (GGA+U) and a wavelength of 1.5418 Å.
Peak positions follow from Bragg's law for the DFT cell and can differ from measured ones.

Cell and atoms:
Cell: 4.853 4.854 7.252 Å, 88.74 88.83 65.23°
Space group P-1 (No. 2)
Symmetry-distinct sites (fractional):
Na 0.000 0.000 0.000 (multiplicity 1)
Fe 0.000 0.000 0.500 (multiplicity 1)
S 0.357 0.359 0.278 (multiplicity 2)
O 0.231 0.699 0.298 (multiplicity 2)
O 0.236 0.238 0.436 (multiplicity 2)
O 0.283 0.287 0.098 (multiplicity 2)
O 0.303 0.767 0.703 (multiplicity 2)

Principal peaks in the range 10 to 90 degrees two-theta, low angle first:
- 12.2°, I = 81
- 21.7°, I = 17
- 23.5°, I = 100
- 23.8°, I = 19
- 25.3°, I = 59
- 31.7°, I = 59
- 32.2°, I = 39
- 34.3°, I = 28
- 37.2°, I = 43
- 42.6°, I = 15
- 48.0°, I = 13
- 62.7°, I = 14